[1]
This entry pairs a crystal structure of VSnP2O8 with its simulated X-ray powder pattern. Radiation: Cu Kα, 1.54184 Å. Structure: a structure optimized by DFT (GGA+U).
Peak positions follow from Bragg's law for the DFT cell and can differ from measured ones.

Top 10 peaks for 2θ = 15–90°, by angle:
| d/Å | 2θ (°) | intensity | index |
| --- | --- | --- | --- |
| 5.184 | 17.10 | 33.8 | 0 1 1 |
| 5.093 | 17.41 | 66.2 | 0 0 2 |
| 4.514 | 19.67 | 31.3 | 1 0 -1 |
| 3.604 | 24.70 | 100.0 | 1 1 1 |
| 3.561 | 25.00 | 21.6 | 1 0 2 |
| 3.011 | 29.67 | 55.8 | 0 2 0 |
| 2.555 | 35.12 | 37.2 | 1 1 -3 |
| 2.541 | 35.32 | 45.0 | 1 1 3 |
| 1.798 | 50.77 | 19.9 | 2 2 2 |
| 1.635 | 56.27 | 22.7 | 0 1 6 |

```
data_VSnP2O8
_chemical_formula_sum 'V2 Sn2 P4 O16'
_symmetry_space_group_name_H-M 'P 1 21/m 1'
_symmetry_Int_Tables_number 11
_cell_length_a 5.0171
_cell_length_b 6.0219
_cell_length_c 10.1872
_cell_angle_alpha 90.00
_cell_angle_beta 90.42
_cell_angle_gamma 90.00
loop_
_symmetry_equiv_pos_as_xyz
'x,y,z'
'-x,-y,-z'
'-x,y+1/2,-z'
'x,-y+1/2,z'
loop_
_atom_site_label
_atom_site_type_symbol
_atom_site_fract_x
_atom_site_fract_y
_atom_site_fract_z
V1 V 0.0493 0.2500 0.2717
Sn1 Sn 0.4534 0.2500 0.7777
P1 P 0.1166 0.7500 0.4042
P2 P 0.4069 0.7500 0.9086
O1 O 0.1620 0.7500 0.5498
O2 O 0.1860 0.2500 0.6274
O3 O 0.2631 0.5514 0.3301
O4 O 0.2637 0.5477 0.8361
O5 O 0.2954 0.2500 0.1051
O6 O 0.3192 0.7500 0.0545
```

=====

[2]
This entry pairs a crystal structure of VSnPO5 with its simulated X-ray powder pattern. Radiation: Cu Kα, 1.54184 Å. Structure: a structure optimized by DFT (GGA+U).
Peak positions follow from Bragg's law for the DFT cell and can differ from measured ones.

Top 10 peaks for 2θ = 15–90°, by angle:
| d/Å | 2θ (°) | intensity | index |
| --- | --- | --- | --- |
| 3.426 | 26.01 | 40.3 | 1 1 0 |
| 3.283 | 27.16 | 100.0 | 1 0 1 |
| 3.112 | 28.69 | 98.9 | 1 0 -2 |
| 2.961 | 30.18 | 65.7 | 0 2 0 |
| 2.862 | 31.26 | 60.5 | 1 -2 0 |
| 2.833 | 31.59 | 50.5 | 1 -2 1 |
| 2.816 | 31.78 | 53.9 | 0 2 -2 |
| 2.664 | 33.64 | 67.5 | 2 0 -1 |
| 2.139 | 42.24 | 46.2 | 1 0 -3 |
| 2.118 | 42.69 | 40.0 | 2 1 0 |

```
data_VSnPO5
_chemical_formula_sum 'V2 Sn2 P2 O10'
_symmetry_space_group_name_H-M 'P -1'
_symmetry_Int_Tables_number 2
_cell_length_a 5.3577
_cell_length_b 6.6278
_cell_length_c 6.9834
_cell_angle_alpha 113.06
_cell_angle_beta 107.20
_cell_angle_gamma 95.39
loop_
_symmetry_equiv_pos_as_xyz
'x,y,z'
'-x,-y,-z'
loop_
_atom_site_label
_atom_site_type_symbol
_atom_site_fract_x
_atom_site_fract_y
_atom_site_fract_z
V1 V 0.1594 0.1340 0.2604
Sn1 Sn 0.3997 0.7193 0.9603
P1 P 0.1767 0.6925 0.3968
O1 O 0.0642 0.2437 0.5328
O2 O 0.0971 0.4355 0.2317
O3 O 0.2236 0.0001 0.9645
O4 O 0.2375 0.8320 0.2744
O5 O 0.4281 0.7381 0.6033
```

=====

[3]
This entry pairs a crystal structure of V2SnP3O12 with its simulated X-ray powder pattern. Radiation: Cu Kα, 1.54184 Å. Structure: a structure optimized by DFT (GGA+U).
Peak positions follow from Bragg's law for the DFT cell and can differ from measured ones.

Top 10 peaks for 2θ = 15–90°, by angle:
| d/Å | 2θ (°) | intensity | index |
| --- | --- | --- | --- |
| 4.318 | 20.57 | 96.5 | 1 1 0 |
| 3.741 | 23.79 | 68.6 | 1 1 3 |
| 3.548 | 25.10 | 29.3 | 2 0 2 |
| 2.829 | 31.63 | 100.0 | 1 1 6 |
| 2.741 | 32.66 | 23.5 | 1 2 2 |
| 2.493 | 36.02 | 34.5 | 3 0 0 |
| 1.992 | 45.53 | 28.8 | 1 2 8 |
| 1.871 | 48.67 | 41.2 | 0 0 12 |
| 1.632 | 56.37 | 25.5 | 4 1 0 |
| 1.496 | 62.02 | 32.5 | 1 4 6 |

```
data_V2SnP3O12
_chemical_formula_sum 'V12 Sn6 P18 O72'
_symmetry_space_group_name_H-M 'R -3 c'
_symmetry_Int_Tables_number 167
_symmetry_space_group_name_Hall '-R 3 2"c'
_cell_length_a 8.6365
_cell_length_b 8.6365
_cell_length_c 22.4642
_cell_angle_alpha 90.00
_cell_angle_beta 90.00
_cell_angle_gamma 120.00
loop_
_atom_site_label
_atom_site_type_symbol
_atom_site_fract_x
_atom_site_fract_y
_atom_site_fract_z
V1 V 0.0000 0.0000 0.1477
Sn1 Sn 0.0000 0.0000 0.0000
P1 P 0.0000 0.2864 0.2500
O1 O 0.0208 0.2005 0.1928
O2 O 0.0260 0.1908 0.9120
```